LiMn4P3O12: computed PXRD pattern (copper Kα), based on DFT lattice parameters and positions (GGA+U).
Intensities are scaled so that the largest is 100.

Cell: 12.207 13.239 6.732 Å, 90.00 115.75 90.00°
Space group C2/c (No. 15)
Asymmetric unit:
Li: 0.000 0.001 0.250 [4 per cell]
Mn: 0.000 0.261 0.750 [4 per cell]
Mn: 0.000 0.497 0.250 [4 per cell]
Mn: 0.215 0.154 0.628 [8 per cell]
P: 0.000 0.288 0.250 [4 per cell]
P: 0.224 0.110 0.121 [8 per cell]
O: 0.040 0.223 0.460 [8 per cell]
O: 0.097 0.366 0.246 [8 per cell]
O: 0.137 0.401 0.832 [8 per cell]
O: 0.156 0.163 0.892 [8 per cell]
O: 0.160 0.006 0.100 [8 per cell]
O: 0.220 0.175 0.307 [8 per cell]

Largest 6 diffraction maxima, in order of rising 2θ, 2θ from 10° to 90°:
| index | 2θ/deg | Rel. int. |
| --- | --- | --- |
| 1 1 0 | 10.46 | 29 |
| 0 2 0 | 13.38 | 33 |
| 3 1 0 | 25.21 | 53 |
| 1 1 -2 | 27.74 | 95 |
| 2 4 0 | 31.55 | 100 |
| 4 0 -2 | 33.15 | 30 |


LiMnP2O7: computed PXRD pattern (copper Kα), based on DFT lattice parameters and positions (GGA+U).
Intensities are scaled so that the largest is 100.

Cell: 5.960 6.190 8.122 Å, 96.45 101.31 109.02°
Space group P-1 (No. 2)
Asymmetric unit:
Li: 0.000 0.000 0.000 [1 per cell]
Li: 0.000 0.000 0.500 [1 per cell]
Mn: 0.360 0.686 0.222 [2 per cell]
P: 0.187 0.462 0.789 [2 per cell]
P: 0.424 0.224 0.318 [2 per cell]
O: 0.079 0.682 0.311 [2 per cell]
O: 0.215 0.626 0.949 [2 per cell]
O: 0.271 0.348 0.217 [2 per cell]
O: 0.293 0.611 0.650 [2 per cell]
O: 0.314 0.281 0.814 [2 per cell]
O: 0.371 0.187 0.490 [2 per cell]
O: 0.383 0.002 0.192 [2 per cell]

Largest 6 diffraction maxima, in order of rising 2θ, 2θ from 10° to 90°:
| index | 2θ/deg | Rel. int. |
| --- | --- | --- |
| 0 1 0 | 15.42 | 71 |
| 1 0 0 | 16.24 | 65 |
| 0 1 -1 | 17.34 | 56 |
| 0 0 2 | 22.74 | 100 |
| 0 1 2 | 30.00 | 42 |
| 2 0 -1 | 31.94 | 38 |